No. 1
Simulated X-ray powder pattern
Compound: K8Sb2As
Radiation: Cu Ka
Structure: a cell relaxed with PBE
Lines closer than 0.1° are merged.

Principal peaks in the range 10° ≤ 2θ ≤ 90°, low angle first:
d_spacing	2theta	I (rel.)
5.073	17.5	41
4.904	18.1	44
4.794	18.5	51
3.180	28.1	37
3.143	28.4	35
3.004	29.7	100
2.957	30.2	69
2.933	30.5	85

Cell and atoms:
a = 20.306 Å, b = 5.914 Å, c = 8.194 Å
α = 90.00°, β = 111.77°, γ = 90.00°
Space group C2/m (No. 12)
One atom of each set of equivalent atoms:
1 K 0.015 0.000 0.280 [4 per cell]
2 K 0.105 0.500 0.921 [4 per cell]
3 K 0.158 0.500 0.438 [4 per cell]
4 K 0.206 0.000 0.777 [4 per cell]
5 Sb 0.174 0.000 0.178 [4 per cell]
6 As 0.000 0.500 0.500 [2 per cell]

***

No. 2
Simulated X-ray powder pattern
Compound: KAsSe3
Radiation: Cu Ka
Structure: a cell relaxed with PBE
Lines closer than 0.1° are merged.

Principal peaks in the range 10° ≤ 2θ ≤ 90°, low angle first:
d_spacing	2theta	I (rel.)
5.494	16.1	95
5.174	17.1	100
4.118	21.6	100
3.193	27.9	98
2.694	33.3	49
2.243	40.2	30
2.232	40.4	31
2.059	44.0	33

Cell and atoms:
a = 5.331 Å, b = 6.386 Å, c = 11.084 Å
α = 90.00°, β = 103.49°, γ = 90.00°
Space group P2_1 (No. 4)
One atom of each set of equivalent atoms:
1 K 0.158 0.000 0.315 [2 per cell]
2 As 0.408 0.054 0.824 [2 per cell]
3 Se 0.061 0.999 0.625 [2 per cell]
4 Se 0.430 0.407 0.866 [2 per cell]
5 Se 0.438 0.497 0.374 [2 per cell]

***

No. 3
Simulated X-ray powder pattern
Compound: K2AsSe3
Radiation: Cu Ka
Structure: a cell relaxed with PBE
Lines closer than 0.1° are merged.

Principal peaks in the range 10° ≤ 2θ ≤ 90°, low angle first:
d_spacing	2theta	I (rel.)
6.820	13.0	46
5.146	17.2	100
3.823	23.3	68
3.457	25.8	31
3.337	26.7	61
2.923	30.6	62
2.778	32.2	39
2.301	39.1	32

Cell and atoms:
a = 7.646 Å, b = 13.640 Å, c = 16.176 Å
α = 90.00°, β = 90.00°, γ = 90.00°
Space group Cmce (No. 64)
One atom of each set of equivalent atoms:
1 K 0.000 0.055 0.163 [8 per cell]
2 K 0.000 0.147 0.571 [8 per cell]
3 As 0.000 0.241 0.843 [8 per cell]
4 Se 0.000 0.089 0.368 [8 per cell]
5 Se 0.000 0.144 0.963 [8 per cell]
6 Se 0.250 0.194 0.750 [8 per cell]

***

No. 4
Simulated X-ray powder pattern
Compound: K3As2Se4
Radiation: Cu Ka
Structure: a cell relaxed with PBE
Lines closer than 0.1° are merged.

Principal peaks in the range 10° ≤ 2θ ≤ 90°, low angle first:
d_spacing	2theta	I (rel.)
5.815	15.2	100
4.101	21.7	49
3.706	24.0	71
3.194	27.9	62
2.940	30.4	49
2.873	31.1	60
2.739	32.7	44
2.690	33.3	66

Cell and atoms:
a = 15.492 Å, b = 9.485 Å, c = 8.658 Å
α = 90.00°, β = 93.42°, γ = 90.00°
Space group C2/c (No. 15)
One atom of each set of equivalent atoms:
1 K 0.000 0.008 0.250 [4 per cell]
2 K 0.128 0.407 0.864 [8 per cell]
3 As 0.192 0.153 0.530 [8 per cell]
4 Se 0.058 0.276 0.502 [8 per cell]
5 Se 0.219 0.101 0.797 [8 per cell]

***

No. 5
Simulated X-ray powder pattern
Compound: K2As2Se5
Radiation: Cu Ka
Structure: a cell relaxed with PBE
Lines closer than 0.1° are merged.

Principal peaks in the range 10° ≤ 2θ ≤ 90°, low angle first:
d_spacing	2theta	I (rel.)
6.846	12.9	62
6.220	14.2	87
5.352	16.6	74
3.110	28.7	49
2.831	31.6	100
2.686	33.4	87
2.005	45.2	35
1.897	48.0	37

Cell and atoms:
a = 5.672 Å, b = 7.433 Å, c = 7.867 Å
α = 111.75°, β = 107.86°, γ = 90.17°
Space group P-1 (No. 2)
One atom of each set of equivalent atoms:
1 K 0.062 0.323 0.139 [2 per cell]
2 As 0.379 0.164 0.686 [2 per cell]
3 Se 0.226 0.812 0.369 [2 per cell]
4 Se 0.424 0.908 0.822 [2 per cell]
5 Se 0.500 0.500 0.000 [1 per cell]

***

No. 6
Simulated X-ray powder pattern
Compound: K4AsSe4
Radiation: Cu Ka
Structure: a cell relaxed with PBE
Lines closer than 0.1° are merged.

Principal peaks in the range 10° ≤ 2θ ≤ 90°, low angle first:
d_spacing	2theta	I (rel.)
6.662	13.3	100
4.213	21.1	96
3.339	26.7	29
2.723	32.9	87
2.524	35.6	23
2.514	35.7	55
2.223	40.6	19
1.724	53.1	23

Cell and atoms:
a = 7.716 Å, b = 7.716 Å, c = 13.264 Å
α = 90.00°, β = 90.00°, γ = 90.00°
Space group I-42m (No. 121)
One atom of each set of equivalent atoms:
1 K 0.000 0.000 0.201 [4 per cell]
2 K 0.000 0.500 0.000 [4 per cell]
3 As 0.000 0.000 0.500 [2 per cell]
4 Se 0.186 0.186 0.388 [8 per cell]